KMnAs2O8: theoretical powder XRD pattern (Cu Kα X-rays), based on a structure optimized by DFT (GGA+U).
Neutral-atom scattering factors, no anomalous dispersion.

Crystal structure
```
12
Lattice="5.0646 0.0000 0.0000 -2.5323 4.3861 0.0000 0.0000 0.0000 7.8736" Properties=species:S:1:pos:R:3 pbc="T T T"
K 0.0000 0.0000 0.0000
Mn 0.0000 0.0000 3.9368
As 0.0000 2.9240 2.3314
As 2.5323 1.4620 5.5421
O -1.6568 3.1128 2.7906
O 0.6649 1.3948 2.7906
O 1.5404 0.1216 5.0829
O 0.0000 2.9240 0.6130
O 2.5323 1.4620 7.2606
O 0.9919 4.2645 2.7906
O 1.8674 2.9913 5.0829
O 4.1891 1.2732 5.0829
```

Largest 6 diffraction maxima, most intense first, 10° ≤ 2θ ≤ 80°:
2theta  I/Imax
23.2  100
30.5  56
35.4  41
11.2  35
47.5  16
60.6  15